# 1
This entry pairs a crystal structure of BeReCl2 with its simulated PXRD pattern. Radiation: Cu Kα (weighted mean of Kα1 and Kα2). Structure: DFT lattice parameters and positions (GGA-PBE).
Peak positions follow from Bragg's law for the DFT cell and can differ from measured ones.

Largest 10 diffraction maxima, by angle, 10° ≤ 2θ ≤ 90°:
two_theta  Rel. int.
11.4  100
27.5  17
28.6  21
29.9  10
32.1  17
34.5  9
37.9  18
41.9  11
46.3  11
49.0  10

Atomic structure:
a = 3.2668 Å, b = 2.9895 Å, c = 7.8400 Å
α = 90.00°, β = 96.14°, γ = 90.00°
Element x y z (fractional)
Be1 0.0000 0.0000 0.0000
Re1 0.5224 0.5000 0.1291
Cl1 0.2543 0.5000 0.8269
Cl2 0.6103 0.0000 0.3631

***

# 2
This entry pairs a crystal structure of Tm5US6 with its simulated PXRD pattern. Radiation: Cu Kα (weighted mean of Kα1 and Kα2). Structure: DFT lattice parameters and positions (GGA-PBE).
Peak positions follow from Bragg's law for the DFT cell and can differ from measured ones.

Largest 10 diffraction maxima, by angle, 10° ≤ 2θ ≤ 90°:
two_theta  Rel. int.
28.4  100
32.8  37
32.9  74
47.2  67
47.3  13
55.9  16
56.1  32
58.7  21
76.2  13
78.4  12

Atomic structure:
a = 6.6672 Å, b = 6.6672 Å, c = 6.6761 Å
α = 99.71°, β = 99.71°, γ = 119.98°
Element x y z (fractional)
Tm1 0.0000 0.0000 0.0000
Tm2 0.1676 0.8324 0.5000
Tm3 0.3316 0.6684 0.0000
Tm4 0.6684 0.3316 0.0000
Tm5 0.8324 0.1676 0.5000
U1 0.5000 0.5000 0.5000
S1 0.0796 0.4158 0.2481
S2 0.2472 0.2472 0.7533
S3 0.4158 0.0796 0.2481
S4 0.5842 0.9204 0.7519
S5 0.7528 0.7528 0.2467
S6 0.9204 0.5842 0.7519